Entry 1:
Computed powder XRD pattern of Ir5Ru for Cu Kα, from DFT lattice parameters and positions (GGA-PBE).
Neutral-atom scattering factors, no anomalous dispersion.

Most intense lines, 2θ from 5° to 70°, in order of falling intensity:
| hkl | 2θ (°) | d_spacing | I/Imax |
| --- | --- | --- | --- |
| 1 0 3 | 40.44 | 2.230 | 100 |
| 1 1 0 | 47.05 | 1.931 | 49 |
| 2 0 0 | 68.73 | 1.366 | 32 |
| 0 0 1 | 7.63 | 11.593 | 6 |
| 0 0 2 | 15.29 | 5.796 | 1 |
| 1 0 1 | 33.72 | 2.658 | 1 |

Cell and atoms:
Unit cell a=2.731 b=2.731 c=11.593 alpha=90.00 beta=90.00 gamma=90.00
Space group P4/mmm (No. 123)
Inequivalent atoms, fractional coordinates:
Ir  0.000  0.000  0.000 x1
Ir  0.000  0.000  0.336 x2
Ir  0.500  0.500  0.167 x2
Ru  0.500  0.500  0.500 x1

***

Entry 2:
Computed powder XRD pattern of Ir5Ru2 for Cu Kα, from DFT lattice parameters and positions (GGA-PBE).
Neutral-atom scattering factors, no anomalous dispersion.

Most intense lines, 2θ from 5° to 70°, in order of falling intensity:
| hkl | 2θ (°) | d_spacing | I/Imax |
| --- | --- | --- | --- |
| 4 1 0 | 41.95 | 2.153 | 100 |
| 3 1 1 | 46.76 | 1.943 | 82 |
| 0 0 1 | 33.29 | 2.691 | 60 |
| 3 1 0 | 31.87 | 2.808 | 54 |
| 3 3 0 | 43.23 | 2.093 | 53 |
| 2 1 1 | 40.49 | 2.228 | 44 |

Cell and atoms:
Unit cell a=8.879 b=8.879 c=2.691 alpha=90.00 beta=90.00 gamma=90.00
Space group P4/mbm (No. 127)
Inequivalent atoms, fractional coordinates:
Ir  0.000  0.500  0.000 x2
Ir  0.052  0.202  0.000 x8
Ru  0.185  0.685  0.500 x4

***

Entry 3:
Computed powder XRD pattern of Ir2Ru for Cu Kα, from DFT lattice parameters and positions (GGA-PBE).
Neutral-atom scattering factors, no anomalous dispersion.

Most intense lines, 2θ from 5° to 70°, in order of falling intensity:
| hkl | 2θ (°) | d_spacing | I/Imax |
| --- | --- | --- | --- |
| 1 1 -2 | 43.24 | 2.092 | 100 |
| 4 0 -2 | 41.19 | 2.192 | 30 |
| 1 1 1 | 37.77 | 2.382 | 21 |
| 4 0 1 | 43.35 | 2.087 | 20 |
| 2 0 -4 | 57.11 | 1.613 | 16 |
| 3 1 3 | 68.34 | 1.373 | 14 |

Cell and atoms:
Unit cell a=9.966 b=2.753 c=6.468 alpha=90.00 beta=104.28 gamma=90.00
Space group Cm (No. 8)
Inequivalent atoms, fractional coordinates:
Ir  0.000  0.000  0.000 x2
Ir  0.056  0.000  0.609 x2
Ir  0.167  0.500  0.330 x2
Ir  0.333  0.000  0.667 x2
Ru  0.224  0.500  0.946 x2
Ru  0.387  0.000  0.274 x2

***

Entry 4:
Computed powder XRD pattern of Ir5Ru4 for Cu Kα, from DFT lattice parameters and positions (GGA-PBE).
Neutral-atom scattering factors, no anomalous dispersion.

Most intense lines, 2θ from 5° to 70°, in order of falling intensity:
| hkl | 2θ (°) | d_spacing | I/Imax |
| --- | --- | --- | --- |
| 3 0 1 | 40.61 | 2.221 | 100 |
| 3 3 0 | 47.25 | 1.924 | 49 |
| 6 0 0 | 69.05 | 1.360 | 31 |
| 1 1 0 | 15.35 | 5.774 | 7 |
| 2 1 1 | 33.86 | 2.648 | 6 |
| 2 2 0 | 30.98 | 2.887 | 2 |

Cell and atoms:
Unit cell a=8.165 b=8.165 c=3.844 alpha=90.00 beta=90.00 gamma=90.00
Space group I4/mmm (No. 139)
Inequivalent atoms, fractional coordinates:
Ir  0.000  0.000  0.000 x2
Ir  0.168  0.168  0.500 x8
Ru  0.000  0.337  0.000 x8

***

Question: What is the formula in the first record?
Answer: Ir5Ru

***

Question: Which formula does entry 4 have?
Answer: Ir5Ru4